(1)
Diffraction record for Li2VO2F. The X-ray diffraction stick pattern is calculated, not measured: it uses a DFT-relaxed cell (PBE+U, the Materials Project) and Cu Kα X-rays.

Main lines, in order of rising 2θ (10° ≤ 2θ ≤ 90°):
Position (°2θ)  intensity  index
12.0  100  0 0 1
24.2  30  0 0 2
34.4  16  1 -2 0
42.4  49  1 -2 2
42.7  23  2 0 -2
61.8  24  3 -2 0

Crystal structure
```
data_Li2VO2F
_symmetry_space_group_name_H-M 'P 1'
_symmetry_Int_Tables_number 1
_cell_length_a 5.197
_cell_length_b 6.030
_cell_length_c 7.359
_cell_angle_alpha 89.98
_cell_angle_beta 89.74
_cell_angle_gamma 89.99
loop_
_symmetry_equiv_pos_as_xyz
'x,y,z'
loop_
_atom_site_label
_atom_site_fract_x
_atom_site_fract_y
_atom_site_fract_z
Li1 0.000 0.000 0.000
Li2 0.006 0.462 0.001
Li3 0.303 0.461 0.291
Li4 0.323 0.000 0.279
Li5 0.459 0.236 0.000
Li6 0.484 0.726 0.992
Li7 0.815 0.722 0.289
Li8 0.838 0.240 0.278
V1 0.159 0.236 0.650
V2 0.159 0.726 0.650
V3 0.641 0.980 0.648
V4 0.658 0.481 0.644
O1 0.152 0.230 0.146
O2 0.306 0.980 0.795
O3 0.331 0.483 0.797
O4 0.484 0.735 0.495
O5 0.486 0.229 0.498
O6 0.820 0.735 0.787
O7 0.823 0.224 0.787
O8 0.995 0.482 0.497
F1 0.152 0.730 0.146
F2 0.654 0.487 0.143
F3 0.656 0.971 0.143
F4 0.982 0.978 0.482
```

(2)
Diffraction record for Li3V4O3F9. The X-ray diffraction stick pattern is calculated, not measured: it uses a DFT-relaxed cell (PBE+U, the Materials Project) and Cu Kα X-rays.

Main lines, in order of rising 2θ (10° ≤ 2θ ≤ 90°):
Position (°2θ)  intensity  index
23.3  98  1 0 -2
23.5  100  1 1 3
23.7  100  0 1 -3
32.4  57  0 1 5
52.5  33  -1 1 7
52.8  33  2 3 3

Crystal structure
```
data_Li3V4O3F9
_symmetry_space_group_name_H-M 'P 1'
_symmetry_Int_Tables_number 1
_cell_length_a 5.229
_cell_length_b 5.527
_cell_length_c 17.286
_cell_angle_alpha 87.52
_cell_angle_beta 81.75
_cell_angle_gamma 62.00
loop_
_symmetry_equiv_pos_as_xyz
'x,y,z'
loop_
_atom_site_label
_atom_site_fract_x
_atom_site_fract_y
_atom_site_fract_z
Li1 0.000 0.000 0.000
Li2 0.042 0.482 0.484
Li3 0.488 0.789 0.245
Li4 0.543 0.240 0.737
Li5 0.767 0.145 0.371
Li6 0.865 0.460 0.852
V1 0.203 0.350 0.303
V2 0.232 0.812 0.793
V3 0.415 0.743 0.416
V4 0.475 0.177 0.928
V5 0.696 0.109 0.553
V6 0.704 0.590 0.049
V7 0.918 0.464 0.671
V8 0.943 0.991 0.168
O1 0.183 0.051 0.358
O2 0.278 0.497 0.390
O3 0.635 0.592 0.766
O4 0.710 0.888 0.984
O5 0.754 0.275 0.104
O6 0.757 0.250 0.640
F1 0.117 0.864 0.514
F2 0.136 0.669 0.706
F3 0.144 0.377 0.010
F4 0.172 0.157 0.206
F5 0.206 0.659 0.231
F6 0.212 0.155 0.739
F7 0.218 0.487 0.854
F8 0.241 0.986 0.893
F9 0.243 0.329 0.576
F10 0.265 0.800 0.073
F11 0.641 0.936 0.453
F12 0.651 0.115 0.269
F13 0.672 0.407 0.948
F14 0.689 0.785 0.606
F15 0.713 0.407 0.479
F16 0.748 0.577 0.321
F17 0.749 0.763 0.147
F18 0.773 0.047 0.825
```

(3)
Diffraction record for Li2VO2F. The X-ray diffraction stick pattern is calculated, not measured: it uses a DFT-relaxed cell (PBE+U, the Materials Project) and Cu Kα X-rays.

Main lines, in order of rising 2θ (10° ≤ 2θ ≤ 90°):
Position (°2θ)  intensity  index
12.0  100  2 0 0
24.1  30  4 0 0
34.3  15  1 1 -2
42.0  49  3 1 2
43.3  21  6 0 -4
61.9  12  3 1 -6

Crystal structure
```
data_Li2VO2F
_symmetry_space_group_name_H-M 'C 1 m 1'
_symmetry_Int_Tables_number 8
_cell_length_a 15.496
_cell_length_b 3.035
_cell_length_c 10.344
_cell_angle_alpha 90.00
_cell_angle_beta 107.82
_cell_angle_gamma 90.00
loop_
_symmetry_equiv_pos_as_xyz
'x,y,z'
'x,-y,z'
'x+1/2,y+1/2,z'
'x+1/2,-y+1/2,z'
loop_
_atom_site_label
_atom_site_fract_x
_atom_site_fract_y
_atom_site_fract_z
Li1 0.000 0.000 0.000
Li2 0.001 0.500 0.238
Li3 0.127 0.000 0.203
Li4 0.131 0.500 0.981
Li5 0.135 0.000 0.718
Li6 0.141 0.500 0.473
Li7 0.481 0.500 0.482
Li8 0.482 0.000 0.736
V1 0.302 0.000 0.963
V2 0.308 0.500 0.235
V3 0.310 0.500 0.725
V4 0.312 0.000 0.481
O1 0.061 0.500 0.104
O2 0.232 0.500 0.856
O3 0.234 0.000 0.608
O4 0.238 0.500 0.365
O5 0.245 0.000 0.111
O6 0.382 0.000 0.844
O7 0.388 0.000 0.348
O8 0.388 0.500 0.599
F1 0.060 0.000 0.844
F2 0.061 0.000 0.363
F3 0.061 0.500 0.602
F4 0.386 0.500 0.093
```

(4)
Diffraction record for Li2VO2F. The X-ray diffraction stick pattern is calculated, not measured: it uses a DFT-relaxed cell (PBE+U, the Materials Project) and Cu Kα X-rays.

Main lines, in order of rising 2θ (10° ≤ 2θ ≤ 90°):
Position (°2θ)  intensity  index
12.1  50  2 0 0
18.2  100  2 0 -1
35.7  26  3 1 0
42.4  51  2 0 2
43.4  95  5 1 -1
62.3  27  7 1 1

Crystal structure
```
data_Li2VO2F
_symmetry_space_group_name_H-M 'C 1 2/m 1'
_symmetry_Int_Tables_number 12
_cell_length_a 15.387
_cell_length_b 2.941
_cell_length_c 5.197
_cell_angle_alpha 90.00
_cell_angle_beta 108.76
_cell_angle_gamma 90.00
loop_
_symmetry_equiv_pos_as_xyz
'x,y,z'
'-x,-y,-z'
'-x,y,-z'
'x,-y,z'
'x+1/2,y+1/2,z'
'-x+1/2,-y+1/2,-z'
'-x+1/2,y+1/2,-z'
'x+1/2,-y+1/2,z'
loop_
_atom_site_label
_atom_site_fract_x
_atom_site_fract_y
_atom_site_fract_z
Li1 0.000 0.000 0.000
Li2 0.000 0.500 0.500
Li3 0.170 0.000 0.834
V1 0.165 0.500 0.346
O1 0.087 0.000 0.408
O2 0.245 0.000 0.258
F1 0.085 0.500 0.926
```

(5)
Diffraction record for Li5V6O5F19. The X-ray diffraction stick pattern is calculated, not measured: it uses a DFT-relaxed cell (PBE+U, the Materials Project) and Cu Kα X-rays.

Main lines, in order of rising 2θ (10° ≤ 2θ ≤ 90°):
Position (°2θ)  intensity  index
16.7  100  0 0 3
25.1  75  -1 1 1
25.3  73  1 1 1
33.7  15  0 0 6
49.3  20  1 1 -8
51.6  15  0 0 9

Crystal structure
```
data_Li5V6O5F19
_symmetry_space_group_name_H-M 'P 1'
_symmetry_Int_Tables_number 1
_cell_length_a 5.208
_cell_length_b 5.400
_cell_length_c 16.161
_cell_angle_alpha 99.46
_cell_angle_beta 90.14
_cell_angle_gamma 90.38
loop_
_symmetry_equiv_pos_as_xyz
'x,y,z'
loop_
_atom_site_label
_atom_site_fract_x
_atom_site_fract_y
_atom_site_fract_z
Li1 0.000 0.000 0.000
Li2 0.044 0.807 0.669
Li3 0.233 0.875 0.418
Li4 0.293 0.456 0.291
Li5 0.718 0.000 0.304
V1 0.236 0.867 0.184
V2 0.258 0.171 0.850
V3 0.286 0.463 0.515
V4 0.775 0.696 0.852
V5 0.782 0.367 0.183
V6 0.786 0.988 0.524
O1 0.045 0.806 0.534
O2 0.066 0.140 0.213
O3 0.453 0.191 0.490
O4 0.960 0.637 0.212
O5 0.968 0.964 0.870
F1 0.057 0.470 0.874
F2 0.166 0.799 0.071
F3 0.173 0.489 0.400
F4 0.177 0.121 0.739
F5 0.324 0.193 0.961
F6 0.332 0.578 0.629
F7 0.371 0.849 0.300
F8 0.448 0.528 0.166
F9 0.461 0.868 0.827
F10 0.542 0.707 0.486
F11 0.553 0.378 0.834
F12 0.569 0.020 0.166
F13 0.642 0.345 0.293
F14 0.675 0.028 0.633
F15 0.689 0.729 0.965
F16 0.842 0.273 0.070
F17 0.851 0.625 0.737
F18 0.882 0.980 0.402
F19 0.961 0.315 0.546
```

(6)
Diffraction record for LiV5O7F. The X-ray diffraction stick pattern is calculated, not measured: it uses a DFT-relaxed cell (PBE+U, the Materials Project) and Cu Kα X-rays.

Main lines, in order of rising 2θ (10° ≤ 2θ ≤ 90°):
Position (°2θ)  intensity  index
17.8  62  1 1 -1
34.5  100  0 2 2
34.7  60  1 1 3
42.1  83  2 2 2
60.7  44  2 2 -6
61.1  44  6 2 -2

Crystal structure
```
data_LiV5O7F
_symmetry_space_group_name_H-M 'C 1 m 1'
_symmetry_Int_Tables_number 8
_cell_length_a 10.486
_cell_length_b 6.125
_cell_length_c 10.553
_cell_angle_alpha 90.00
_cell_angle_beta 110.17
_cell_angle_gamma 90.00
loop_
_symmetry_equiv_pos_as_xyz
'x,y,z'
'x,-y,z'
'x+1/2,y+1/2,z'
'x+1/2,-y+1/2,z'
loop_
_atom_site_label
_atom_site_fract_x
_atom_site_fract_y
_atom_site_fract_z
Li1 0.000 0.000 0.000
Li2 0.000 0.500 0.499
V1 0.166 0.247 0.807
V2 0.167 0.251 0.309
V3 0.168 0.000 0.563
V4 0.168 0.500 0.062
V5 0.353 0.500 0.625
V6 0.355 0.000 0.126
V7 0.428 0.000 0.813
V8 0.430 0.500 0.317
O1 0.051 0.000 0.689
O2 0.054 0.269 0.923
O3 0.054 0.500 0.192
O4 0.055 0.234 0.425
O5 0.060 0.000 0.204
O6 0.062 0.500 0.703
O7 0.290 0.000 0.924
O8 0.291 0.500 0.425
O9 0.296 0.236 0.696
O10 0.297 0.262 0.198
F1 0.292 0.000 0.434
F2 0.292 0.500 0.933
```

(7)
Diffraction record for LiVOF3. The X-ray diffraction stick pattern is calculated, not measured: it uses a DFT-relaxed cell (PBE+U, the Materials Project) and Cu Kα X-rays.

Main lines, in order of rising 2θ (10° ≤ 2θ ≤ 90°):
Position (°2θ)  intensity  index
16.6  52  0 0 1
25.1  100  1 1 -1
33.6  17  0 0 2
48.4  23  2 2 -1
49.0  11  1 1 2
51.4  12  0 0 3

Crystal structure
```
data_LiVOF3
_symmetry_space_group_name_H-M 'P 1 21 1'
_symmetry_Int_Tables_number 4
_cell_length_a 5.363
_cell_length_b 5.277
_cell_length_c 5.952
_cell_angle_alpha 90.00
_cell_angle_beta 116.33
_cell_angle_gamma 90.00
loop_
_symmetry_equiv_pos_as_xyz
'x,y,z'
'-x,y+1/2,-z'
loop_
_atom_site_label
_atom_site_fract_x
_atom_site_fract_y
_atom_site_fract_z
Li1 0.230 0.000 0.476
V1 0.231 0.281 0.999
O1 0.012 0.532 0.954
F1 0.071 0.217 0.639
F2 0.434 0.290 0.359
F3 0.466 0.973 0.021
```

(8)
Diffraction record for LiV2O5F. The X-ray diffraction stick pattern is calculated, not measured: it uses a DFT-relaxed cell (PBE+U, the Materials Project) and Cu Kα X-rays.

Main lines, in order of rising 2θ (10° ≤ 2θ ≤ 90°):
Position (°2θ)  intensity  index
12.6  77  0 2 0
24.7  99  0 3 1
25.3  24  0 4 0
30.6  100  1 3 1
41.5  36  1 3 2
54.1  34  1 6 2

Crystal structure
```
data_LiV2O5F
_symmetry_space_group_name_H-M 'P 21 21 2'
_symmetry_Int_Tables_number 18
_cell_length_a 4.986
_cell_length_b 14.068
_cell_length_c 5.637
_cell_angle_alpha 90.00
_cell_angle_beta 90.00
_cell_angle_gamma 90.00
loop_
_symmetry_equiv_pos_as_xyz
'x,y,z'
'-x,-y,z'
'x+1/2,-y+1/2,-z'
'-x+1/2,y+1/2,-z'
loop_
_atom_site_label
_atom_site_fract_x
_atom_site_fract_y
_atom_site_fract_z
Li1 0.000 0.000 0.050
Li2 0.000 0.500 0.571
V1 0.020 0.172 0.608
V2 0.055 0.343 0.065
O1 0.088 0.757 0.879
O2 0.095 0.750 0.394
O3 0.187 0.416 0.866
O4 0.244 0.400 0.342
O5 0.247 0.604 0.138
F1 0.198 0.088 0.406
```